Entry 1:
Na2TbPCO7: theoretical X-ray powder pattern (Cu Kα, 1.54184 Å), based on a PBE-relaxed structure.
Lines closer than 0.1° are merged.

```
Na2TbPCO7
1.0
5.228 0.000 0.000
0.000 7.016 0.000
-0.168 0.000 9.246
Na Tb P C O
4 2 2 2 14
Cartesian
1.168 0.011 1.936
1.168 3.497 1.936
3.892 3.519 7.310
3.892 7.005 7.310
1.074 1.754 5.827
3.986 5.262 3.419
1.438 5.262 5.392
3.623 1.754 3.854
1.246 1.754 8.590
3.814 5.262 0.657
0.077 1.754 7.995
0.845 3.994 6.047
0.845 6.530 6.047
1.090 5.262 3.849
1.554 1.754 0.601
2.065 1.754 3.754
2.286 1.754 7.764
2.775 5.262 1.482
2.995 5.262 5.492
3.506 5.262 8.646
3.970 1.754 5.397
4.215 0.486 3.200
4.215 3.022 3.200
4.984 5.262 1.251
```

Top 10 peaks for 2θ from 10° to 90°, low angle first:
- 2θ 15.9, intensity 91
- 2θ 19.4, intensity 28
- 2θ 21.2, intensity 75
- 2θ 25.4, intensity 100
- 2θ 26.0, intensity 59
- 2θ 32.1, intensity 39
- 2θ 32.3, intensity 30
- 2θ 34.3, intensity 35
- 2θ 35.9, intensity 40
- 2θ 38.9, intensity 30



Entry 2:
ErThTc2: theoretical X-ray powder pattern (Cu Kα, 1.54184 Å), based on a PBE-relaxed structure.
Lines closer than 0.1° are merged.

```
ErThTc2
1.0
0.000 3.464 3.464
3.464 0.000 3.464
3.464 3.464 0.000
Er Th Tc
1 1 2
Cartesian
0.000 0.000 0.000
3.464 3.464 3.464
1.732 1.732 1.732
5.196 5.196 5.196
```

Top 10 peaks for 2θ from 10° to 90°, low angle first:
- 2θ 22.2, intensity 2
- 2θ 25.7, intensity 12
- 2θ 36.7, intensity 100
- 2θ 45.3, intensity 4
- 2θ 52.9, intensity 18
- 2θ 59.7, intensity 5
- 2θ 66.1, intensity 36
- 2θ 78.0, intensity 11
- 2θ 83.8, intensity 3
- 2θ 89.5, intensity 17